Diffraction record for Rb4MgFe4O8. The X-ray diffraction stick pattern is simulated, not measured: it uses a DFT-relaxed cell (PBE+U, the Materials Project) and Cu Kα (λ = 1.5418 Å).

Cell and atoms:
```
data_Rb4MgFe4O8
_chemical_formula_sum 'Rb4 Mg1 Fe4 O8'
_symmetry_space_group_name_H-M 'P 1'
_symmetry_Int_Tables_number 1
_cell_length_a 5.914
_cell_length_b 5.931
_cell_length_c 8.734
_cell_angle_alpha 89.02
_cell_angle_beta 89.53
_cell_angle_gamma 75.59
loop_
_symmetry_equiv_pos_as_xyz
'x,y,z'
loop_
_atom_site_label
_atom_site_fract_x
_atom_site_fract_y
_atom_site_fract_z
_atom_site_occupancy
Rb1 0.000 0.000 0.000 1
Rb2 0.028 0.426 0.319 1
Rb3 0.520 0.034 0.796 1
Rb4 0.603 0.523 0.605 1
Mg1 0.316 0.810 0.305 1
Fe1 0.071 0.509 0.825 1
Fe2 0.075 0.988 0.570 1
Fe3 0.565 0.581 0.062 1
Fe4 0.627 0.089 0.310 1
O1 0.054 0.244 0.716 1
O2 0.378 0.530 0.896 1
O3 0.407 0.979 0.471 1
O4 0.479 0.903 0.126 1
O5 0.500 0.455 0.265 1
O6 0.884 0.506 0.008 1
O7 0.950 0.766 0.696 1
O8 0.969 0.942 0.340 1
```

Largest 8 diffraction maxima, in order of rising 2θ, 2θ = 15–90°:
2θ (°)  Rel. int.
27.72  33.6
28.17  47.4
31.19  100.0
31.95  41.9
32.18  32.7
38.46  14.0
41.36  14.7
51.20  16.1